No. 1
Simulated PXRD pattern of TlCu4Se3 for copper Kα, from a DFT-relaxed cell (PBE, the Materials Project).
Neutral-atom scattering factors, no anomalous dispersion.

Structure:
Cell: 3.867 3.867 10.131 Å, 90.00 90.00 90.00°
Element x y z (fractional)
Tl1 0.000 0.000 0.000
Cu1 0.000 0.500 0.338
Cu2 0.000 0.500 0.662
Cu3 0.500 0.000 0.338
Cu4 0.500 0.000 0.662
Se1 0.000 0.000 0.500
Se2 0.500 0.500 0.194
Se3 0.500 0.500 0.806

Top 10 peaks for 10° ≤ 2θ ≤ 80°, by angle:
d/Å, Rel. int.
3.074, 100
2.640, 43
2.544, 25
2.406, 25
2.125, 19
2.119, 14
1.934, 42
1.858, 32
1.637, 31
1.272, 16

No. 2
Simulated PXRD pattern of Na2SnSe3 for copper Kα, from a DFT-relaxed cell (PBE, the Materials Project).
Neutral-atom scattering factors, no anomalous dispersion.

Structure:
Cell: 7.352 16.538 6.253 Å, 90.00 112.72 90.00°
Element x y z (fractional)
Na1 0.048 0.166 0.012
Na2 0.048 0.334 0.512
Na3 0.265 0.526 0.176
Na4 0.265 0.974 0.676
Na5 0.735 0.026 0.324
Na6 0.735 0.474 0.824
Na7 0.952 0.666 0.488
Na8 0.952 0.834 0.988
Sn1 0.457 0.166 0.631
Sn2 0.457 0.334 0.131
Sn3 0.543 0.666 0.869
Sn4 0.543 0.834 0.369
Se1 0.093 0.144 0.536
Se2 0.093 0.356 0.036
Se3 0.303 0.554 0.677
Se4 0.303 0.946 0.177
Se5 0.481 0.683 0.252
Se6 0.481 0.817 0.752
Se7 0.519 0.183 0.248
Se8 0.519 0.317 0.748
Se9 0.697 0.054 0.823
Se10 0.697 0.446 0.323
Se11 0.907 0.644 0.964
Se12 0.907 0.856 0.464

Top 10 peaks for 10° ≤ 2θ ≤ 80°, by angle:
d/Å, Rel. int.
6.782, 100
4.629, 36
3.985, 62
3.137, 67
3.124, 92
3.069, 29
2.973, 43
2.756, 47
2.173, 55
2.139, 31

No. 3
Simulated PXRD pattern of BaMgTiO3 for copper Kα, from a DFT-relaxed cell (PBE, the Materials Project).
Neutral-atom scattering factors, no anomalous dispersion.

Structure:
Cell: 5.269 5.269 4.729 Å, 107.43 107.43 72.68°
Element x y z (fractional)
Ba1 0.000 0.000 0.000
Mg1 0.304 0.304 0.711
Ti1 0.542 0.542 0.442
O1 0.331 0.331 0.146
O2 0.387 0.906 0.548
O3 0.906 0.387 0.548

Top 10 peaks for 10° ≤ 2θ ≤ 80°, by angle:
d/Å, Rel. int.
4.894, 42
3.940, 44
3.723, 100
3.693, 38
3.122, 46
2.947, 78
2.544, 22
2.516, 45
2.447, 32
2.421, 26

No. 4
Simulated PXRD pattern of GdNi2B2C for copper Kα, from a DFT-relaxed cell (PBE, the Materials Project).
Neutral-atom scattering factors, no anomalous dispersion.

Structure:
Cell: 5.737 5.737 5.737 Å, 143.58 143.58 52.45°
Element x y z (fractional)
Gd1 0.000 0.000 0.000
Ni1 0.250 0.750 0.500
Ni2 0.750 0.250 0.500
B1 0.355 0.355 0.000
B2 0.645 0.645 0.000
C1 0.500 0.500 0.000

Top 10 peaks for 10° ≤ 2θ ≤ 80°, by angle:
d/Å, Rel. int.
3.386, 60
2.573, 33
2.479, 38
2.274, 100
1.793, 27
1.785, 12
1.584, 15
1.471, 23
1.453, 14
1.421, 23

No. 5
Simulated PXRD pattern of ZrB for copper Kα, from a DFT-relaxed cell (PBE, the Materials Project).
Neutral-atom scattering factors, no anomalous dispersion.

Structure:
Cell: 3.474 3.474 3.474 Å, 60.00 60.00 60.00°
Element x y z (fractional)
Zr1 0.000 0.000 0.000
B1 0.500 0.500 0.500

Top 6 peaks for 10° ≤ 2θ ≤ 80°, by angle:
d/Å, Rel. int.
2.836, 100
2.456, 71
1.737, 47
1.481, 41
1.418, 16
1.228, 7

No. 6
Simulated PXRD pattern of CsCuBr3 for copper Kα, from a DFT-relaxed cell (PBE, the Materials Project).
Neutral-atom scattering factors, no anomalous dispersion.

Structure:
Cell: 7.589 7.589 13.060 Å, 90.00 90.00 117.81°
Element x y z (fractional)
Cs1 0.181 0.819 0.750
Cs2 0.488 0.488 0.500
Cs3 0.512 0.512 0.000
Cs4 0.819 0.181 0.250
Cu1 0.145 0.844 0.378
Cu2 0.156 0.855 0.122
Cu3 0.844 0.145 0.622
Cu4 0.855 0.156 0.878
Br1 0.000 0.000 0.000
Br2 0.000 0.000 0.500
Br3 0.027 0.564 0.018
Br4 0.167 0.308 0.788
Br5 0.297 0.703 0.250
Br6 0.308 0.167 0.212
Br7 0.436 0.973 0.482
Br8 0.564 0.027 0.982
Br9 0.692 0.833 0.712
Br10 0.703 0.297 0.750
Br11 0.833 0.692 0.288
Br12 0.973 0.436 0.518

Top 10 peaks for 10° ≤ 2θ ≤ 80°, by angle:
d/Å, Rel. int.
3.792, 17
3.652, 18
3.265, 26
3.250, 21
2.985, 100
2.909, 20
2.658, 25
2.604, 17
1.896, 19
1.827, 20